La6Pm5Nd: computed PXRD pattern (copper Kα), based on a GGA-PBE-relaxed structure.

Principal peaks in the range 15 to 90 degrees two-theta, in order of rising 2θ:
| 2θ/deg | d/Å | intensity |
| --- | --- | --- |
| 29.58 | 3.020 | 100 |
| 34.14 | 2.626 | 34 |
| 34.57 | 2.595 | 17 |
| 49.06 | 1.857 | 12 |
| 49.37 | 1.846 | 24 |
| 58.34 | 1.582 | 29 |
| 58.89 | 1.568 | 14 |
| 61.40 | 1.510 | 13 |
| 79.62 | 1.204 | 6 |
| 80.10 | 1.198 | 12 |

Crystal structure
Cell: 5.255 10.380 15.745 Å, 90.00 90.00 90.00°
Space group Immm (No. 71)
Unique sites:
La1 0.000 0.249 0.000 (multiplicity 4)
La2 0.000 0.250 0.333 (multiplicity 8)
Pm1 0.000 0.000 0.167 (multiplicity 4)
Pm2 0.000 0.500 0.167 (multiplicity 4)
Pm3 0.000 0.500 0.500 (multiplicity 2)
Nd1 0.000 0.000 0.500 (multiplicity 2)

TiPt8Au2: computed PXRD pattern (copper Kα), based on a GGA-PBE-relaxed structure.

Principal peaks in the range 15 to 90 degrees two-theta, in order of rising 2θ:
| 2θ/deg | d/Å | intensity |
| --- | --- | --- |
| 26.71 | 3.337 | 20 |
| 34.96 | 2.567 | 20 |
| 38.69 | 2.327 | 91 |
| 40.60 | 2.222 | 100 |
| 45.15 | 2.008 | 32 |
| 52.12 | 1.755 | 25 |
| 62.29 | 1.491 | 14 |
| 71.38 | 1.321 | 20 |
| 81.50 | 1.181 | 21 |
| 88.28 | 1.107 | 14 |

Crystal structure
Cell: 8.224 11.421 4.016 Å, 90.00 90.00 90.00°
Space group Cmmm (No. 65)
Unique sites:
Ti1 0.000 0.000 0.000 (multiplicity 2)
Pt1 0.000 0.226 0.000 (multiplicity 4)
Pt2 0.168 0.124 0.500 (multiplicity 8)
Pt3 0.176 0.500 0.000 (multiplicity 4)
Au1 0.000 0.376 0.500 (multiplicity 4)

MgWBr2: computed PXRD pattern (copper Kα), based on a GGA-PBE-relaxed structure.

Principal peaks in the range 15 to 90 degrees two-theta, in order of rising 2θ:
| 2θ/deg | d/Å | intensity |
| --- | --- | --- |
| 20.12 | 4.413 | 52 |
| 28.04 | 3.182 | 24 |
| 29.85 | 2.994 | 18 |
| 34.76 | 2.581 | 100 |
| 40.07 | 2.250 | 53 |
| 41.82 | 2.160 | 51 |
| 45.23 | 2.005 | 25 |
| 50.32 | 1.813 | 21 |
| 69.38 | 1.354 | 27 |
| 73.99 | 1.281 | 19 |

Crystal structure
Cell: 3.182 3.182 8.826 Å, 90.00 90.00 90.00°
Space group P4mm (No. 99)
Unique sites:
Mg1 0.000 0.000 0.000 (multiplicity 1)
W1 0.500 0.500 0.243 (multiplicity 1)
Br1 0.000 0.000 0.407 (multiplicity 1)
Br2 0.500 0.500 0.815 (multiplicity 1)

B2C: computed PXRD pattern (copper Kα), based on a GGA-PBE-relaxed structure.

Principal peaks in the range 15 to 90 degrees two-theta, in order of rising 2θ:
| 2θ/deg | d/Å | intensity |
| --- | --- | --- |
| 19.35 | 4.588 | 26 |
| 26.29 | 3.390 | 20 |
| 35.10 | 2.556 | 8 |
| 39.27 | 2.294 | 44 |
| 40.02 | 2.253 | 100 |
| 43.35 | 2.087 | 35 |
| 64.82 | 1.438 | 14 |
| 70.18 | 1.341 | 15 |
| 70.63 | 1.334 | 22 |
| 77.62 | 1.230 | 9 |

Crystal structure
Cell: 13.141 2.682 5.135 Å, 90.00 107.62 90.00°
Space group Cm (No. 8)
Unique sites:
B1 0.000 0.000 0.000 (multiplicity 2)
B2 0.006 0.500 0.620 (multiplicity 2)
B3 0.122 0.000 0.249 (multiplicity 2)
B4 0.137 0.000 0.904 (multiplicity 2)
B5 0.145 0.500 0.688 (multiplicity 2)
B6 0.280 0.000 0.072 (multiplicity 2)
B7 0.347 0.000 0.629 (multiplicity 2)
B8 0.466 0.500 0.332 (multiplicity 2)
C1 0.174 0.500 0.417 (multiplicity 2)
C2 0.294 0.500 0.469 (multiplicity 2)
C3 0.335 0.500 0.203 (multiplicity 2)
C4 0.449 0.000 0.856 (multiplicity 2)